1.
The following is a theoretical powder X-ray diffraction pattern of La3Co4Sn13. It was derived from a PBE-relaxed structure, using Cu Kα (weighted mean of Kα1 and Kα2).

Peak list (10 most intense, 2θ = 15–90°, most intense first)
2θ (°)	d_spacing	I_rel	hkl
33.35	2.687	100.0	3 2 0
34.65	2.589	35.6	3 2 1
37.12	2.422	18.3	4 0 0
58.75	1.572	17.7	5 3 2
55.29	1.661	13.9	4 3 3
45.89	1.977	12.6	4 2 2
38.31	2.350	12.4	4 1 0
67.70	1.384	11.3	6 3 2
88.58	1.104	9.3	6 5 4
63.72	1.460	8.5	6 2 2

```
data_La3Co4Sn13
_chemical_formula_sum 'La6 Co8 Sn26'
_cell_length_a 9.6876
_cell_length_b 9.6876
_cell_length_c 9.6876
_cell_angle_alpha 90.00
_cell_angle_beta 90.00
_cell_angle_gamma 90.00
_space_group_name_H-M_alt 'P m -3 n'
_space_group_IT_number 223
_space_group_name_Hall '-P 4n 2 3'
loop_
_atom_site_label
_atom_site_type_symbol
_atom_site_fract_x
_atom_site_fract_y
_atom_site_fract_z
_atom_site_occupancy
La1 La 0.0000 0.2500 0.5000 1
Co1 Co 0.2500 0.2500 0.2500 1
Sn1 Sn 0.0000 0.0000 0.0000 1
Sn2 Sn 0.0000 0.3014 0.1577 1
```

2.
The following is a theoretical powder X-ray diffraction pattern of LaCo2Sn4. It was derived from a PBE-relaxed structure, using Cu Kα (weighted mean of Kα1 and Kα2).

Peak list (10 most intense, 2θ = 15–90°, most intense first)
2θ (°)	d_spacing	I_rel	hkl
33.73	2.657	100.0	2 1 2
33.99	2.637	60.7	5 1 1
40.57	2.224	46.1	0 2 0
36.35	2.471	30.4	7 0 1
35.49	2.530	29.0	6 1 0
63.57	1.464	22.2	9 1 3
40.84	2.209	21.2	3 0 3
55.60	1.653	20.3	7 2 1
43.95	2.060	15.1	6 1 2
58.93	1.567	14.9	3 2 3

```
data_LaCo2Sn4
_chemical_formula_sum 'La4 Co8 Sn16'
_cell_length_a 18.4539
_cell_length_b 4.4476
_cell_length_c 7.1020
_cell_angle_alpha 90.00
_cell_angle_beta 90.00
_cell_angle_gamma 90.00
_space_group_name_H-M_alt 'P n m a'
_space_group_IT_number 62
_space_group_name_Hall '-P 2ac 2n'
loop_
_atom_site_label
_atom_site_type_symbol
_atom_site_fract_x
_atom_site_fract_y
_atom_site_fract_z
_atom_site_occupancy
La1 La 0.1408 0.2500 0.0060 1
Co1 Co 0.0352 0.7500 0.7483 1
Co2 Co 0.2133 0.2500 0.4864 1
Sn1 Sn 0.0279 0.7500 0.1403 1
Sn2 Sn 0.0696 0.2500 0.5090 1
Sn3 Sn 0.1807 0.7500 0.6978 1
Sn4 Sn 0.1990 0.7500 0.2845 1
```

3.
The following is a theoretical powder X-ray diffraction pattern of SrLa2Co2. It was derived from a PBE-relaxed structure, using Cu Kα (weighted mean of Kα1 and Kα2).

Peak list (10 most intense, 2θ = 15–90°, most intense first)
2θ (°)	d_spacing	I_rel	hkl
35.83	2.506	100.0	2 1 1
33.64	2.664	62.3	3 1 0
65.87	1.418	24.3	5 2 1
23.62	3.767	19.3	2 1 0
43.36	2.087	19.0	3 1 1
65.76	1.420	17.1	3 1 2
26.55	3.357	16.7	0 0 1
47.41	1.918	12.3	3 2 1
42.95	2.106	11.1	4 0 0
54.68	1.679	9.3	0 0 2

```
data_SrLa2Co2
_chemical_formula_sum 'Sr2 La4 Co4'
_cell_length_a 8.4240
_cell_length_b 8.4240
_cell_length_c 3.3571
_cell_angle_alpha 90.00
_cell_angle_beta 90.00
_cell_angle_gamma 90.00
_space_group_name_H-M_alt 'P 4/m b m'
_space_group_IT_number 127
_space_group_name_Hall '-P 4 2ab'
loop_
_atom_site_label
_atom_site_type_symbol
_atom_site_fract_x
_atom_site_fract_y
_atom_site_fract_z
_atom_site_occupancy
Sr1 Sr 0.0000 0.0000 0.0000 1
La1 La 0.1401 0.3599 0.0000 1
Co1 Co 0.1531 0.6531 0.5000 1
```

4.
The following is a theoretical powder X-ray diffraction pattern of Sr2LaCo. It was derived from a PBE-relaxed structure, using Cu Kα (weighted mean of Kα1 and Kα2).

Peak list (10 most intense, 2θ = 15–90°, most intense first)
2θ (°)	d_spacing	I_rel	hkl
28.83	3.097	100.0	1 1 -2
27.08	3.293	79.9	1 1 1
29.18	3.060	66.3	0 0 3
41.44	2.179	60.8	3 1 -1
28.57	3.124	52.2	2 0 1
51.46	1.776	46.0	3 1 2
26.89	3.316	42.7	2 0 -2
41.91	2.156	29.5	0 2 0
51.53	1.773	26.8	3 1 -4
51.88	1.762	25.9	0 2 3

```
data_Sr2LaCo
_chemical_formula_sum 'Sr4 La2 Co2'
_cell_length_a 7.5759
_cell_length_b 4.3114
_cell_length_c 9.5166
_cell_angle_alpha 90.00
_cell_angle_beta 105.26
_cell_angle_gamma 90.00
_space_group_name_H-M_alt 'C 1 m 1'
_space_group_IT_number 8
_space_group_name_Hall 'C -2y'
loop_
_atom_site_label
_atom_site_type_symbol
_atom_site_fract_x
_atom_site_fract_y
_atom_site_fract_z
_atom_site_occupancy
Sr1 Sr 0.0000 0.0000 0.0000 1
Sr2 Sr 0.1967 0.0000 0.6032 1
La1 La 0.2700 0.5000 0.3007 1
Co1 Co 0.4321 0.0000 0.2834 1
```

5.
The following is a theoretical powder X-ray diffraction pattern of SrLaCo2. It was derived from a PBE-relaxed structure, using Cu Kα (weighted mean of Kα1 and Kα2).

Peak list (10 most intense, 2θ = 15–90°, most intense first)
2θ (°)	d_spacing	I_rel	hkl
15.48	5.725	100.0	0 0 1
32.52	2.754	94.5	1 1 1
25.11	3.546	80.1	1 1 -1
31.25	2.862	65.5	0 0 2
35.45	2.532	57.5	3 1 -1
44.67	2.029	52.1	3 1 -3
37.08	2.424	46.8	4 0 -2
44.03	2.057	31.1	0 2 0
46.06	1.971	26.4	4 0 0
54.97	1.670	25.5	0 2 2

```
data_SrLaCo2
_chemical_formula_sum 'Sr2 La2 Co4'
_cell_length_a 9.7683
_cell_length_b 4.1135
_cell_length_c 7.0942
_cell_angle_alpha 90.00
_cell_angle_beta 126.20
_cell_angle_gamma 90.00
_space_group_name_H-M_alt 'C 1 2/m 1'
_space_group_IT_number 12
_space_group_name_Hall '-C 2y'
loop_
_atom_site_label
_atom_site_type_symbol
_atom_site_fract_x
_atom_site_fract_y
_atom_site_fract_z
_atom_site_occupancy
Sr1 Sr 0.0000 0.0000 0.0000 1
La1 La 0.0000 0.5000 0.5000 1
Co1 Co 0.2384 0.5000 0.4377 1
```

6.
The following is a theoretical powder X-ray diffraction pattern of SrLaCo4. It was derived from a PBE-relaxed structure, using Cu Kα (weighted mean of Kα1 and Kα2).

Peak list (10 most intense, 2θ = 15–90°, most intense first)
2θ (°)	d_spacing	I_rel	hkl
40.42	2.232	100.0	3 1 1
34.27	2.617	49.3	2 2 0
65.53	1.424	30.2	3 3 3
72.20	1.308	22.9	4 4 0
42.30	2.137	22.8	2 2 2
61.36	1.511	18.1	4 2 2
86.16	1.129	10.6	5 3 3
82.41	1.170	7.9	6 2 0
87.40	1.116	7.2	6 2 2
20.79	4.273	5.5	1 1 1

```
data_SrLaCo4
_chemical_formula_sum 'Sr4 La4 Co16'
_cell_length_a 7.4017
_cell_length_b 7.4017
_cell_length_c 7.4017
_cell_angle_alpha 90.00
_cell_angle_beta 90.00
_cell_angle_gamma 90.00
_space_group_name_H-M_alt 'F -4 3 m'
_space_group_IT_number 216
_space_group_name_Hall 'F -4 2 3'
loop_
_atom_site_label
_atom_site_type_symbol
_atom_site_fract_x
_atom_site_fract_y
_atom_site_fract_z
_atom_site_occupancy
Sr1 Sr 0.0000 0.0000 0.0000 1
La1 La 0.2500 0.2500 0.2500 1
Co1 Co 0.1239 0.1239 0.6239 1
```

7.
The following is a theoretical powder X-ray diffraction pattern of SrLa4Co2. It was derived from a PBE-relaxed structure, using Cu Kα (weighted mean of Kα1 and Kα2).

Peak list (10 most intense, 2θ = 15–90°, most intense first)
2θ (°)	d_spacing	I_rel	hkl
31.26	2.861	100.0	3 1 1
28.82	3.098	63.3	3 1 -1
39.20	2.298	47.6	7 1 0
31.83	2.812	40.8	4 0 -2
29.27	3.051	39.9	2 0 -2
26.67	3.343	37.5	1 1 -1
45.40	1.998	33.1	0 2 0
25.29	3.522	30.1	4 0 1
38.21	2.355	29.4	1 1 2
27.21	3.277	27.6	6 0 0

```
data_SrLa4Co2
_chemical_formula_sum 'Sr2 La8 Co4'
_cell_length_a 19.9822
_cell_length_b 3.9958
_cell_length_c 6.1547
_cell_angle_alpha 90.00
_cell_angle_beta 100.27
_cell_angle_gamma 90.00
_space_group_name_H-M_alt 'C 1 2/m 1'
_space_group_IT_number 12
_space_group_name_Hall '-C 2y'
loop_
_atom_site_label
_atom_site_type_symbol
_atom_site_fract_x
_atom_site_fract_y
_atom_site_fract_z
_atom_site_occupancy
Sr1 Sr 0.0000 0.0000 0.0000 1
La1 La 0.1427 0.0000 0.5632 1
La2 La 0.1865 0.5000 0.1118 1
Co1 Co 0.2342 0.5000 0.6556 1
```

8.
The following is a theoretical powder X-ray diffraction pattern of LaTbCo. It was derived from a PBE-relaxed structure, using Cu Kα (weighted mean of Kα1 and Kα2).

Peak list (10 most intense, 2θ = 15–90°, most intense first)
2θ (°)	d_spacing	I_rel	hkl
31.80	2.814	100.0	3 1 -1
28.58	3.124	89.1	1 1 1
40.28	2.239	76.8	5 1 0
30.68	2.914	45.6	0 0 2
29.88	2.991	37.1	3 1 0
45.38	1.999	35.9	0 2 0
35.88	2.503	35.2	2 0 2
55.73	1.649	34.9	5 1 2
26.37	3.380	26.6	4 0 0
33.16	2.702	25.2	4 0 1

```
data_LaTbCo
_chemical_formula_sum 'La4 Tb4 Co4'
_cell_length_a 13.7910
_cell_length_b 3.9974
_cell_length_c 5.9445
_cell_angle_alpha 90.00
_cell_angle_beta 101.37
_cell_angle_gamma 90.00
_space_group_name_H-M_alt 'C 1 2/m 1'
_space_group_IT_number 12
_space_group_name_Hall '-C 2y'
loop_
_atom_site_label
_atom_site_type_symbol
_atom_site_fract_x
_atom_site_fract_y
_atom_site_fract_z
_atom_site_occupancy
La1 La 0.0983 0.0000 0.3069 1
Tb1 Tb 0.1622 0.5000 0.8232 1
Co1 Co 0.2279 0.5000 0.3277 1
```